# AuS5
Computed PXRD pattern, Cu Kα. Input: a DFT-relaxed cell (PBE, Alexandria).
Neutral-atom scattering factors, no anomalous dispersion.

The 8 most intense peaks (10° ≤ 2θ ≤ 80°), low angle first:
hkl	2theta	I_rel
0 2 0	11.54	56
0 0 1	15.53	100
0 1 1	16.58	59
0 2 1	19.39	68
0 4 0	23.20	51
1 3 0	26.71	45
0 4 1	28.04	47
1 3 -1	29.16	35

Structural model:
```
data_AuS5
_cell_length_a 4.4745
_cell_length_b 15.3375
_cell_length_c 5.7944
_cell_angle_alpha 90.00
_cell_angle_beta 100.03
_cell_angle_gamma 90.00
_space_group_name_H-M_alt 'P 1 21/m 1'
_space_group_IT_number 11
_space_group_name_Hall '-P 2yb'
loop_
_atom_site_label
_atom_site_type_symbol
_atom_site_fract_x
_atom_site_fract_y
_atom_site_fract_z
Au1 Au 0.2276 0.2500 0.4506
S1 S 0.0420 0.5125 0.6880
S2 S 0.2959 0.7500 0.6644
S3 S 0.3855 0.5932 0.7455
```

=====

# ThSbAuS
Computed PXRD pattern, Cu Kα. Input: a DFT-relaxed cell (PBE, Alexandria).
Neutral-atom scattering factors, no anomalous dispersion.

The 8 most intense peaks (10° ≤ 2θ ≤ 80°), low angle first:
hkl	2theta	I_rel
1 0 2	27.89	38
1 1 1	29.45	25
1 1 2	34.25	100
2 0 0	39.56	47
1 0 4	45.00	23
2 1 2	49.09	16
2 1 4	61.44	19
3 1 2	68.37	27

Structural model:
```
data_ThSbAuS
_cell_length_a 4.5565
_cell_length_b 4.5565
_cell_length_c 8.9840
_cell_angle_alpha 90.00
_cell_angle_beta 90.00
_cell_angle_gamma 90.00
_space_group_name_H-M_alt 'P 4/n m m'
_space_group_IT_number 129
loop_
_space_group_symop_operation_xyz
'x,y,z'
'-x,-y,-z'
'-y+1/2,x,z'
'y+1/2,-x,-z'
'-x+1/2,-y+1/2,z'
'x+1/2,y+1/2,-z'
'y,-x+1/2,z'
'-y,x+1/2,-z'
'x+1/2,-y,-z'
'-x+1/2,y,z'
'-y,-x,-z'
'y,x,z'
'-x,y+1/2,-z'
'x,-y+1/2,z'
'y+1/2,x+1/2,-z'
'-y+1/2,-x+1/2,z'
loop_
_atom_site_label
_atom_site_type_symbol
_atom_site_fract_x
_atom_site_fract_y
_atom_site_fract_z
Th1 Th 0.2500 0.2500 0.1912
Sb1 Sb 0.2500 0.2500 0.6920
Au1 Au 0.2500 0.7500 0.5000
S1 S 0.2500 0.7500 0.0000
```

=====

# U2AuSe2S2
Computed PXRD pattern, Cu Kα. Input: a DFT-relaxed cell (PBE, Alexandria).
Neutral-atom scattering factors, no anomalous dispersion.

The 8 most intense peaks (10° ≤ 2θ ≤ 80°), low angle first:
hkl	2theta	I_rel
0 0 3	22.99	22
1 0 1	24.41	100
0 1 2	27.86	33
1 0 4	38.90	40
1 1 0	40.69	42
0 1 5	45.67	25
1 1 3	47.25	21
0 2 1	48.02	17

Structural model:
```
data_U2AuSe2S2
_cell_length_a 4.4349
_cell_length_b 4.4349
_cell_length_c 11.6057
_cell_angle_alpha 90.00
_cell_angle_beta 90.00
_cell_angle_gamma 120.00
_space_group_name_H-M_alt 'P -3 m 1'
_space_group_IT_number 164
_space_group_name_Hall '-P 3 2"'
loop_
_atom_site_label
_atom_site_type_symbol
_atom_site_fract_x
_atom_site_fract_y
_atom_site_fract_z
U1 U 0.3333 0.6667 0.1591
Au1 Au 0.0000 0.0000 0.5000
Se1 Se 0.0000 0.0000 0.2904
S1 S 0.3333 0.6667 0.9181
```

=====

# Sr3Si2Au4S2
Computed PXRD pattern, Cu Kα. Input: a DFT-relaxed cell (PBE, Alexandria).
Neutral-atom scattering factors, no anomalous dispersion.

The 8 most intense peaks (10° ≤ 2θ ≤ 80°), low angle first:
hkl	2theta	I_rel
0 0 4	13.74	40
0 0 6	20.68	26
1 1 2	27.83	31
1 1 4	30.36	35
1 1 6	34.20	100
2 0 0	38.47	50
2 0 10	52.85	21
3 1 6	66.87	29

Structural model:
```
data_Sr3Si2Au4S2
_cell_length_a 4.6800
_cell_length_b 4.6800
_cell_length_c 25.7718
_cell_angle_alpha 90.00
_cell_angle_beta 90.00
_cell_angle_gamma 90.00
_space_group_name_H-M_alt 'I 4/m m m'
_space_group_IT_number 139
_space_group_name_Hall '-I 4 2'
loop_
_atom_site_label
_atom_site_type_symbol
_atom_site_fract_x
_atom_site_fract_y
_atom_site_fract_z
Sr1 Sr 0.0000 0.0000 0.0000
Sr2 Sr 0.0000 0.0000 0.1836
Si1 Si 0.0000 0.0000 0.3868
Au1 Au 0.0000 0.5000 0.0881
S1 S 0.0000 0.0000 0.2991
```